No. 1
# Cs4Y3ScTe8
Computed X-ray powder pattern, Cu Kα, 1.54184 Å. Input: the PBE geometry in Alexandria.
No peak broadening, texture or thermal motion is included.

Structure:
a b c (Å): 10.3107 10.3107 10.3107
angles (deg): 51.91 51.91 51.91
Sites, in units of the cell vectors:
Cs: 0.0000 0.0000 0.0000
Cs: 0.0000 0.5000 0.5000
Cs: 0.5000 0.0000 0.5000
Cs: 0.5000 0.5000 0.0000
Y: 0.0000 0.0000 0.5000
Y: 0.0000 0.5000 0.0000
Y: 0.5000 0.0000 0.0000
Sc: 0.5000 0.5000 0.5000
Te: 0.2305 0.2305 0.2305
Te: 0.2391 0.7236 0.7236
Te: 0.2764 0.2764 0.7609
Te: 0.2764 0.7609 0.2764
Te: 0.7236 0.2391 0.7236
Te: 0.7236 0.7236 0.2391
Te: 0.7609 0.2764 0.2764
Te: 0.7695 0.7695 0.7695

Peak list (10 most intense, 2θ = 15–90°, in order of rising 2θ)
d_spacing	2θ/deg	intensity
3.372	26.4	100
3.153	28.3	19
2.966	30.1	10
2.537	35.4	28
2.256	40.0	38
1.875	48.5	18
1.818	50.2	8
1.796	50.8	14
1.686	54.4	8
1.442	64.6	15

No. 2
# CeSi2Ag2
Computed X-ray powder pattern, Cu Kα, 1.54184 Å. Input: the PBE geometry in Alexandria.
No peak broadening, texture or thermal motion is included.

Structure:
a b c (Å): 11.4182 11.4182 11.4182
angles (deg): 159.02 158.98 29.87
Sites, in units of the cell vectors:
Ce: 0.4224 0.1724 0.2500
Ce: 0.5776 0.8276 0.7500
Si: 0.0260 0.2760 0.7500
Si: 0.1311 0.3811 0.7500
Si: 0.8689 0.6189 0.2500
Si: 0.9740 0.7240 0.2500
Ag: 0.2025 0.9525 0.2500
Ag: 0.2993 0.5493 0.7500
Ag: 0.7007 0.4507 0.2500
Ag: 0.7975 0.0475 0.7500

Peak list (10 most intense, 2θ = 15–90°, in order of rising 2θ)
d_spacing	2θ/deg	intensity
3.619	24.6	10
3.028	29.5	13
2.758	32.5	13
2.596	34.5	100
2.513	35.7	11
2.297	39.2	21
2.081	43.5	37
1.661	55.3	11
1.471	63.2	12
1.281	74.0	10

No. 3
# La5Ga5Ru2
Computed X-ray powder pattern, Cu Kα, 1.54184 Å. Input: the PBE geometry in Alexandria.
No peak broadening, texture or thermal motion is included.

Structure:
a b c (Å): 7.8279 7.8279 11.1728
angles (deg): 127.80 127.80 35.11
Sites, in units of the cell vectors:
La: 0.0000 0.0000 0.0000
La: 0.1240 0.1240 0.4396
La: 0.1960 0.1960 0.8341
La: 0.8040 0.8040 0.1659
La: 0.8760 0.8760 0.5604
Ga: 0.2598 0.2598 0.3062
Ga: 0.4653 0.4653 0.1790
Ga: 0.5000 0.5000 0.5000
Ga: 0.5347 0.5347 0.8210
Ga: 0.7402 0.7402 0.6938
Ru: 0.3267 0.3267 0.7296
Ru: 0.6733 0.6733 0.2704

Peak list (10 most intense, 2θ = 15–90°, in order of rising 2θ)
d_spacing	2θ/deg	intensity
3.374	26.4	29
2.907	30.8	100
2.738	32.7	51
2.694	33.3	35
2.486	36.1	18
2.363	38.1	74
2.331	38.6	49
2.039	44.4	15
1.776	51.5	20
1.672	54.9	17

No. 4
# Tb2ErOsC2
Computed X-ray powder pattern, Cu Kα, 1.54184 Å. Input: the PBE geometry in Alexandria.
No peak broadening, texture or thermal motion is included.

Structure:
a b c (Å): 5.5742 11.0156 3.7121
angles (deg): 90.00 90.00 90.00
Sites, in units of the cell vectors:
Tb: 0.0504 0.2076 0.0000
Tb: 0.4496 0.7076 0.5000
Tb: 0.5504 0.2924 0.5000
Tb: 0.9496 0.7924 0.0000
Er: 0.0000 0.5000 0.5000
Er: 0.5000 0.0000 0.0000
Os: 0.0000 0.0000 0.5000
Os: 0.5000 0.5000 0.0000
C: 0.2254 0.6160 0.0000
C: 0.2746 0.1160 0.5000
C: 0.7254 0.8840 0.5000
C: 0.7746 0.3840 0.0000

Peak list (10 most intense, 2θ = 15–90°, in order of rising 2θ)
d_spacing	2θ/deg	intensity
2.787	32.1	24
2.754	32.5	16
2.695	33.2	100
1.959	46.4	12
1.856	49.1	10
1.591	58.0	14
1.545	59.9	8
1.539	60.1	7
1.347	69.8	7
1.180	81.6	9